Starting from a crystal structure in the Materials Project, relaxed with GGA-PBE, the powder XRD pattern of MnV2Ru was calculated for a wavelength of 1.5418 Å.
Intensities are scaled so that the largest is 100.

Top 10 peaks for 10° ≤ 2θ ≤ 90°, by angle:
2theta	intensity	h k l
26.2	9	1 1 1
30.3	7	2 0 0
43.4	100	2 2 0
51.4	4	3 1 1
53.8	2	2 2 2
63.0	15	4 0 0
69.5	2	3 3 1
71.5	3	4 2 0
79.6	30	4 2 2
85.6	1	5 1 1

Lattice parameters (Å, degrees): 5.8980 5.8980 5.8980 90.00 90.00 90.00
Space group Fm-3m (No. 225)
Asymmetric unit:
Mn1 0.0000 0.0000 0.0000 (multiplicity 4)
V1 0.2500 0.2500 0.2500 (multiplicity 8)
Ru1 0.0000 0.0000 0.5000 (multiplicity 4)